Theoretical powder diffractogram of Dy3ErAs4 for copper Kα, from a cell relaxed with GGA-PBE.
Neutral-atom scattering factors, no anomalous dispersion.

Top 10 peaks for 2θ = 10–90°, by angle:
2θ/deg	I (rel.)
26.61	23.5
30.82	100.0
44.14	74.5
52.28	11.6
54.80	26.2
64.20	12.2
70.77	4.7
72.90	33.5
81.21	25.2
87.31	3.8

```
Dy3ErAs4
1.0
8.205 0.000 0.000
0.000 11.605 0.000
0.000 0.000 4.105
Dy Er As
6 2 8
Cartesian
0.000 0.000 0.000
2.051 2.901 2.052
2.051 8.704 2.052
4.103 5.802 0.000
6.154 2.901 2.052
6.154 8.704 2.052
0.000 5.802 0.000
4.103 0.000 0.000
0.000 2.910 0.000
0.000 8.695 0.000
2.039 5.802 2.052
2.064 0.000 2.052
4.103 2.892 0.000
4.103 8.713 0.000
6.141 0.000 2.052
6.167 5.802 2.052
```

---

Theoretical powder diffractogram of Li2IrO3 for copper Kα, from a cell relaxed with GGA-PBE.
Neutral-atom scattering factors, no anomalous dispersion.

Top 10 peaks for 2θ = 10–90°, by angle:
2θ/deg	I (rel.)
19.17	100.0
19.93	16.7
23.69	18.9
31.28	30.9
36.30	19.7
37.26	16.5
37.52	16.4
43.31	29.1
43.72	14.2
63.24	22.4

```
Li2IrO3
1.0
0.000 4.141 8.909
2.939 0.000 8.909
2.939 4.141 0.000
Li Ir O
8 4 12
Cartesian
0.735 1.035 0.818
2.205 3.106 2.177
0.735 1.035 3.636
3.674 5.176 6.631
2.205 3.106 11.186
5.144 7.247 14.181
3.674 5.176 15.640
5.144 7.247 16.999
2.205 3.106 5.174
2.205 3.106 8.189
3.674 5.176 9.628
3.674 5.176 12.643
2.224 1.071 5.174
3.583 3.106 6.681
2.185 1.071 8.188
3.655 3.141 9.629
5.053 5.176 11.136
3.694 3.141 12.643
2.185 5.141 5.174
0.826 3.106 6.681
2.224 5.141 8.188
3.694 7.211 9.629
2.296 5.176 11.136
3.655 7.211 12.643
```

---

Theoretical powder diffractogram of Zr6TlHg for copper Kα, from a cell relaxed with GGA-PBE.
Neutral-atom scattering factors, no anomalous dispersion.

Top 10 peaks for 2θ = 10–90°, by angle:
2θ/deg	I (rel.)
22.37	26.3
31.84	44.0
35.72	52.3
39.26	100.0
59.28	11.5
61.76	53.0
66.55	13.8
75.67	14.7
77.89	10.1
80.09	12.7

```
Zr6TlHg
1.0
5.620 0.000 0.000
0.000 5.620 0.000
0.000 0.000 5.620
Zr Tl Hg
6 1 1
Cartesian
0.000 1.415 2.810
0.000 4.206 2.810
1.415 2.810 0.000
2.810 0.000 1.415
2.810 0.000 4.206
4.206 2.810 0.000
0.000 0.000 0.000
2.810 2.810 2.810
```